[1]
Diffraction record for SmDy2Cu4Ge4. The powder X-ray diffraction pattern is simulated, not measured: it uses a PBE-relaxed structure and Cu Kα, 1.54184 Å.

Most intense lines, 2θ from 10° to 90°, sorted by position:
two_theta, d_spacing, Rel. int., h k l
34.81, 2.577, 100, 1 2 1
35.97, 2.497, 86, 1 1 4
38.61, 2.332, 17, 0 0 6
39.44, 2.285, 11, 1 2 3
42.95, 2.106, 32, 2 0 0
45.04, 2.013, 24, 0 3 3
47.51, 1.914, 13, 1 2 5
56.38, 1.632, 11, 2 1 5
58.03, 1.589, 10, 1 2 7
63.99, 1.455, 17, 2 3 3
74.14, 1.279, 10, 3 1 4
80.05, 1.199, 13, 1 5 4

Structure:
```
data_SmDy2Cu4Ge4
_cell_length_a 4.211
_cell_length_b 6.694
_cell_length_c 13.995
_cell_angle_alpha 90.00
_cell_angle_beta 90.00
_cell_angle_gamma 90.00
_space_group_name_H-M_alt 'I m m m'
_space_group_IT_number 71
_space_group_name_Hall '-I 2 2'
loop_
_atom_site_label
_atom_site_fract_x
_atom_site_fract_y
_atom_site_fract_z
Sm1 0.000 0.000 0.000
Dy1 0.000 0.500 0.130
Cu1 0.000 0.310 0.331
Ge1 0.000 0.000 0.217
Ge2 0.000 0.190 0.500
```

***

[2]
Diffraction record for Pm3Ni2Ge3. The powder X-ray diffraction pattern is simulated, not measured: it uses a PBE-relaxed structure and Cu Kα, 1.54184 Å.

Most intense lines, 2θ from 10° to 90°, sorted by position:
two_theta, d_spacing, Rel. int., h k l
33.51, 2.674, 100, 1 1 4
33.82, 2.650, 15, 0 4 0
35.36, 2.538, 11, 0 2 5
37.32, 2.409, 13, 0 0 6
37.94, 2.372, 20, 1 3 3
38.78, 2.322, 14, 0 4 3
41.51, 2.176, 21, 1 3 4
42.25, 2.139, 26, 2 0 0
55.87, 1.646, 10, 1 3 7
58.68, 1.573, 8, 2 4 3
69.16, 1.358, 8, 1 1 10
71.68, 1.317, 11, 3 1 4

Structure:
```
data_Pm3Ni2Ge3
_cell_length_a 4.279
_cell_length_b 10.600
_cell_length_c 14.456
_cell_angle_alpha 90.00
_cell_angle_beta 90.00
_cell_angle_gamma 90.00
_space_group_name_H-M_alt 'C m c m'
_space_group_IT_number 63
_space_group_name_Hall '-C 2c 2'
loop_
_atom_site_label
_atom_site_fract_x
_atom_site_fract_y
_atom_site_fract_z
Pm1 0.000 0.089 0.109
Pm2 0.000 0.370 0.250
Ni1 0.000 0.202 0.599
Ge1 0.000 0.329 0.750
Ge2 0.000 0.374 0.038
```

***

[3]
Diffraction record for MgCuP. The powder X-ray diffraction pattern is simulated, not measured: it uses a PBE-relaxed structure and Cu Kα, 1.54184 Å.

Most intense lines, 2θ from 10° to 90°, sorted by position:
two_theta, d_spacing, Rel. int., h k l
25.86, 3.446, 19, 1 0 0
27.27, 3.270, 32, 0 0 2
29.30, 3.049, 77, 1 0 1
37.93, 2.372, 99, 1 0 2
45.60, 1.989, 100, 1 1 0
49.47, 1.842, 52, 1 0 3
53.95, 1.700, 26, 1 1 2
60.76, 1.524, 23, 2 0 2
69.54, 1.352, 18, 2 0 3
78.15, 1.223, 18, 1 0 5
79.16, 1.210, 20, 2 1 2
87.18, 1.118, 19, 2 1 3

Structure:
```
data_MgCuP
_cell_length_a 3.9788
_cell_length_b 3.9788
_cell_length_c 6.5407
_cell_angle_alpha 90.00
_cell_angle_beta 90.00
_cell_angle_gamma 120.00
_space_group_name_H-M_alt 'P 63 m c'
_space_group_IT_number 186
_space_group_name_Hall 'P 6c -2c'
loop_
_atom_site_label
_atom_site_fract_x
_atom_site_fract_y
_atom_site_fract_z
Mg1 0.0000 0.0000 0.0000
Cu1 0.3333 0.6667 0.2996
P1 0.3333 0.6667 0.6989
```

***

[4]
Diffraction record for Ni3S4. The powder X-ray diffraction pattern is simulated, not measured: it uses a PBE-relaxed structure and Cu Kα, 1.54184 Å.

Most intense lines, 2θ from 10° to 90°, sorted by position:
two_theta, d_spacing, Rel. int., h k l
16.27, 5.450, 20, 1 0 1
26.69, 3.340, 36, 1 1 2
31.34, 2.854, 48, 1 0 3
31.48, 2.842, 100, 2 1 1
37.98, 2.369, 23, 0 0 4
38.22, 2.355, 45, 2 2 0
50.03, 1.823, 20, 0 1 5
50.32, 1.813, 42, 3 2 1
54.99, 1.670, 100, 0 4 0
55.28, 1.662, 20, 4 0 0
77.76, 1.228, 8, 4 1 5
81.80, 1.177, 12, 4 4 0

Structure:
```
data_Ni3S4
_cell_length_a 6.647
_cell_length_b 6.675
_cell_length_c 9.477
_cell_angle_alpha 90.00
_cell_angle_beta 90.00
_cell_angle_gamma 90.00
_space_group_name_H-M_alt 'I m m a'
_space_group_IT_number 74
_space_group_name_Hall '-I 2b 2'
loop_
_atom_site_label
_atom_site_fract_x
_atom_site_fract_y
_atom_site_fract_z
Ni1 0.000 0.000 0.000
Ni2 0.000 0.250 0.375
Ni3 0.250 0.250 0.750
S1 0.000 0.016 0.759
S2 0.234 0.250 0.990
```

***

[5]
Diffraction record for Zr6ScNi. The powder X-ray diffraction pattern is simulated, not measured: it uses a PBE-relaxed structure and Cu Kα, 1.54184 Å.

Most intense lines, 2θ from 10° to 90°, sorted by position:
two_theta, d_spacing, Rel. int., h k l
24.20, 3.678, 6, 1 0 1
32.63, 2.744, 25, 2 0 0
36.26, 2.477, 25, 0 0 2
37.46, 2.401, 100, 2 0 1
49.57, 1.839, 15, 2 0 2
58.23, 1.584, 17, 2 2 0
66.02, 1.415, 18, 2 0 3
68.36, 1.372, 3, 4 0 0
70.56, 1.335, 19, 2 2 2
71.32, 1.322, 14, 4 0 1
79.92, 1.200, 3, 4 0 2
86.13, 1.129, 3, 2 0 4

Structure:
```
data_Zr6ScNi
_cell_length_a 6.3377
_cell_length_b 6.3377
_cell_length_c 4.9546
_cell_angle_alpha 90.00
_cell_angle_beta 90.00
_cell_angle_gamma 120.00
_space_group_name_H-M_alt 'P -6 m 2'
_space_group_IT_number 187
_space_group_name_Hall 'P -6 2'
loop_
_atom_site_label
_atom_site_fract_x
_atom_site_fract_y
_atom_site_fract_z
Zr1 0.0158 0.5079 0.0000
Zr2 0.3261 0.1630 0.5000
Sc1 0.0000 0.0000 0.0000
Ni1 0.3333 0.6667 0.5000
```

***

[6]
Diffraction record for DyErNCl3. The powder X-ray diffraction pattern is simulated, not measured: it uses a PBE-relaxed structure and Cu Kα, 1.54184 Å.

Most intense lines, 2θ from 10° to 90°, sorted by position:
two_theta, d_spacing, Rel. int., h k l
11.07, 7.995, 100, 2 0 -1
25.49, 3.494, 17, 4 0 0
26.60, 3.351, 14, 4 0 -3
27.43, 3.252, 56, 1 1 1
28.99, 3.080, 36, 1 1 -2
33.45, 2.679, 47, 4 0 -4
34.23, 2.620, 27, 6 0 -1
36.01, 2.494, 25, 5 1 -2
38.08, 2.363, 26, 5 1 -3
45.45, 1.995, 29, 5 1 1
47.77, 1.904, 14, 0 2 0
49.03, 1.858, 12, 3 1 -5

Structure:
```
data_DyErNCl3
_cell_length_a 16.573
_cell_length_b 3.808
_cell_length_c 10.803
_cell_angle_alpha 90.00
_cell_angle_beta 122.51
_cell_angle_gamma 90.00
_space_group_name_H-M_alt 'C 1 2/m 1'
_space_group_IT_number 12
loop_
_space_group_symop_operation_xyz
'x,y,z'
'-x,-y,-z'
'-x,y,-z'
'x,-y,z'
'x+1/2,y+1/2,z'
'-x+1/2,-y+1/2,-z'
'-x+1/2,y+1/2,-z'
'x+1/2,-y+1/2,z'
loop_
_atom_site_label
_atom_site_fract_x
_atom_site_fract_y
_atom_site_fract_z
Dy1 0.138 0.000 0.292
Er1 0.082 0.500 0.957
N1 0.076 0.500 0.156
Cl1 0.045 0.000 0.753
Cl2 0.166 0.500 0.513
Cl3 0.217 0.000 0.112
```

***

[7]
Diffraction record for K2Ta2Pb2O7. The powder X-ray diffraction pattern is simulated, not measured: it uses a PBE-relaxed structure and Cu Kα, 1.54184 Å.

Most intense lines, 2θ from 10° to 90°, sorted by position:
two_theta, d_spacing, Rel. int., h k l
11.12, 7.955, 31, 0 0 1
20.61, 4.309, 23, 1 1 1
28.40, 3.142, 100, 1 1 2
30.20, 2.960, 84, 2 1 0
32.27, 2.774, 24, -1 1 1
41.93, 2.155, 36, 2 0 2
49.14, 1.854, 24, 1 0 4
52.54, 1.742, 37, 3 2 2
53.63, 1.709, 19, 3 3 0
62.79, 1.480, 12, 4 2 0
67.49, 1.388, 19, 3 1 4
70.31, 1.339, 16, 1 4 2

Structure:
```
data_K2Ta2Pb2O7
_cell_length_a 5.919
_cell_length_b 5.919
_cell_length_c 7.955
_cell_angle_alpha 89.95
_cell_angle_beta 89.99
_cell_angle_gamma 60.02
_space_group_name_H-M_alt 'P -1'
_space_group_IT_number 2
loop_
_space_group_symop_operation_xyz
'x,y,z'
'-x,-y,-z'
loop_
_atom_site_label
_atom_site_fract_x
_atom_site_fract_y
_atom_site_fract_z
K1 0.167 0.167 0.068
Ta1 0.500 0.500 0.260
Pb1 0.167 0.166 0.579
O1 0.164 0.602 0.192
O2 0.266 0.836 0.808
O3 0.397 0.266 0.808
O4 0.500 0.500 0.500
```

***

[8]
Diffraction record for Dy2C2ICl. The powder X-ray diffraction pattern is simulated, not measured: it uses a PBE-relaxed structure and Cu Kα, 1.54184 Å.

Most intense lines, 2θ from 10° to 90°, sorted by position:
two_theta, d_spacing, Rel. int., h k l
16.56, 5.353, 32, 0 0 2
26.59, 3.352, 50, 1 1 0
27.26, 3.271, 32, 1 1 -1
27.99, 3.188, 100, 2 0 1
28.50, 3.132, 30, 1 1 1
30.36, 2.944, 83, 1 1 -2
32.61, 2.746, 85, 2 0 2
32.80, 2.731, 41, 2 0 -3
33.48, 2.677, 35, 0 0 4
35.31, 2.542, 89, 1 1 -3
44.92, 2.018, 48, 1 1 4
45.07, 2.012, 49, 3 1 -1

Structure:
```
data_Dy2C2ICl
_cell_length_a 7.115
_cell_length_b 3.815
_cell_length_c 10.846
_cell_angle_alpha 90.00
_cell_angle_beta 99.20
_cell_angle_gamma 90.00
_space_group_name_H-M_alt 'C 1 m 1'
_space_group_IT_number 8
loop_
_space_group_symop_operation_xyz
'x,y,z'
'x,-y,z'
'x+1/2,y+1/2,z'
'x+1/2,-y+1/2,z'
loop_
_atom_site_label
_atom_site_fract_x
_atom_site_fract_y
_atom_site_fract_z
Dy1 0.000 0.000 0.000
Dy2 0.195 0.000 0.734
C1 0.009 0.500 0.834
C2 0.184 0.500 0.900
I1 0.388 0.000 0.199
Cl1 0.306 0.500 0.577
```

***

[9]
Diffraction record for Cs2OsO4. The powder X-ray diffraction pattern is simulated, not measured: it uses a PBE-relaxed structure and Cu Kα, 1.54184 Å.

Most intense lines, 2θ from 10° to 90°, sorted by position:
two_theta, d_spacing, Rel. int., h k l
16.88, 5.252, 100, 1 1 1
26.46, 3.369, 60, 2 2 0
28.30, 3.154, 66, 0 2 2
28.42, 3.141, 65, 2 0 2
31.44, 2.845, 14, 1 3 1
31.66, 2.826, 14, 3 1 1
34.75, 2.582, 14, 1 1 3
37.58, 2.394, 17, 0 4 0
37.96, 2.370, 16, 4 0 0
47.78, 1.904, 27, 2 4 2
48.01, 1.895, 27, 4 2 2
51.34, 1.780, 24, 2 2 4

Structure:
```
data_Cs2OsO4
_cell_length_a 9.482
_cell_length_b 9.575
_cell_length_c 8.385
_cell_angle_alpha 90.00
_cell_angle_beta 90.00
_cell_angle_gamma 90.00
_space_group_name_H-M_alt 'F m m 2'
_space_group_IT_number 42
_space_group_name_Hall 'F 2 -2'
loop_
_atom_site_label
_atom_site_fract_x
_atom_site_fract_y
_atom_site_fract_z
Cs1 0.250 0.250 0.000
Os1 0.000 0.000 0.252
O1 0.000 0.180 0.189
O2 0.181 0.000 0.315
```

***

[10]
Diffraction record for Tb2NdMg3Pt2Au. The powder X-ray diffraction pattern is simulated, not measured: it uses a PBE-relaxed structure and Cu Kα, 1.54184 Å.

Most intense lines, 2θ from 10° to 90°, sorted by position:
two_theta, d_spacing, Rel. int., h k l
23.64, 3.764, 50, 0 3 1
25.79, 3.455, 27, 1 2 0
32.39, 2.764, 57, 1 0 2
35.27, 2.545, 100, 1 2 2
41.45, 2.179, 12, 0 6 0
41.62, 2.170, 24, 0 3 3
42.85, 2.110, 24, 1 5 1
44.48, 2.037, 21, 2 0 0
50.98, 1.791, 13, 2 3 1
62.54, 1.485, 14, 2 3 3
66.52, 1.406, 17, 1 8 2
75.91, 1.253, 11, 3 2 2

Structure:
```
data_Tb2NdMg3Pt2Au
_cell_length_a 4.074
_cell_length_b 13.072
_cell_length_c 7.508
_cell_angle_alpha 90.00
_cell_angle_beta 90.00
_cell_angle_gamma 90.00
_space_group_name_H-M_alt 'A m m 2'
_space_group_IT_number 38
loop_
_space_group_symop_operation_xyz
'x,y,z'
'-x,-y,z'
'-x,y,z'
'x,-y,z'
'x,y+1/2,z+1/2'
'-x,-y+1/2,z+1/2'
'-x,y+1/2,z+1/2'
'x,-y+1/2,z+1/2'
loop_
_atom_site_label
_atom_site_fract_x
_atom_site_fract_y
_atom_site_fract_z
Tb1 0.000 0.208 0.000
Nd1 0.000 0.000 0.374
Mg1 0.500 0.000 0.039
Mg2 0.500 0.126 0.669
Pt1 0.500 0.170 0.290
Au1 0.000 0.000 0.796
```